Simulated powder XRD pattern
Compound: Ac12PrIn6
Radiation: Cu Kα (λ = 1.5418 Å)
Structure: DFT lattice parameters and positions (GGA-PBE)

Structure:
```
data_Ac12PrIn6
_symmetry_space_group_name_H-M 'R -3'
_symmetry_Int_Tables_number 148
_symmetry_space_group_name_Hall '-R 3'
_cell_length_a 12.4314
_cell_length_b 12.4314
_cell_length_c 16.0262
_cell_angle_alpha 90.00
_cell_angle_beta 90.00
_cell_angle_gamma 120.00
loop_
_atom_site_label
_atom_site_type_symbol
_atom_site_fract_x
_atom_site_fract_y
_atom_site_fract_z
Ac1 Ac 0.0330 0.8432 0.3113
Ac2 Ac 0.0603 0.2190 0.9092
Pr1 Pr 0.0000 0.0000 0.5000
In1 In 0.0346 0.5944 0.2082
```

Peak list (10 most intense, 2θ = 5–70°, in order of falling intensity)
2theta	d_spacing	I/Imax	hkl
30.45	2.935	100	4 -3 1
31.33	2.855	86	2 1 4
29.07	3.072	63	0 1 5
30.00	2.979	59	0 3 3
31.99	2.798	51	4 -1 2
22.54	3.944	36	3 -1 1
56.06	1.641	22	7 -5 3
51.83	1.764	19	1 4 6
46.03	1.972	18	4 2 2
33.35	2.686	17	4 -2 3


Simulated powder XRD pattern
Compound: Fe2As2Cl
Radiation: Cu Kα (λ = 1.5418 Å)
Structure: DFT lattice parameters and positions (GGA-PBE)

Structure:
```
data_Fe2As2Cl
_symmetry_space_group_name_H-M 'P 4/m b m'
_symmetry_Int_Tables_number 127
_symmetry_space_group_name_Hall '-P 4 2ab'
_cell_length_a 7.161
_cell_length_b 7.161
_cell_length_c 3.085
_cell_angle_alpha 90.00
_cell_angle_beta 90.00
_cell_angle_gamma 90.00
loop_
_atom_site_label
_atom_site_type_symbol
_atom_site_fract_x
_atom_site_fract_y
_atom_site_fract_z
Fe1 Fe 0.136 0.364 0.000
As1 As 0.141 0.641 0.500
Cl1 Cl 0.000 0.000 0.000
```

Peak list (10 most intense, 2θ = 5–70°, in order of falling intensity)
2theta	d_spacing	I/Imax	hkl
40.60	2.222	100	2 1 1
39.81	2.265	43	3 1 0
17.51	5.064	29	1 1 0
54.98	1.670	17	3 2 1
51.01	1.790	15	4 0 0
59.96	1.543	8	0 0 2
54.35	1.688	7	3 3 0
34.03	2.635	4	1 1 1
38.52	2.337	4	2 0 1
61.24	1.514	3	4 1 1


Simulated powder XRD pattern
Compound: La3PmEr8
Radiation: Cu Kα (λ = 1.5418 Å)
Structure: DFT lattice parameters and positions (GGA-PBE)

Structure:
```
data_La3PmEr8
_symmetry_space_group_name_H-M 'I -4 2 m'
_symmetry_Int_Tables_number 121
_symmetry_space_group_name_Hall 'I -4 2'
_cell_length_a 8.797
_cell_length_b 8.797
_cell_length_c 11.263
_cell_angle_alpha 90.00
_cell_angle_beta 90.00
_cell_angle_gamma 90.00
loop_
_atom_site_label
_atom_site_type_symbol
_atom_site_fract_x
_atom_site_fract_y
_atom_site_fract_z
La1 La 0.000 0.000 0.000
La2 La 0.000 0.500 0.250
Pm1 Pm 0.000 0.000 0.500
Er1 Er 0.124 0.124 0.253
Er2 Er 0.247 0.247 0.507
```

Peak list (10 most intense, 2θ = 5–70°, in order of falling intensity)
2theta	d_spacing	I/Imax	hkl
36.01	2.494	100	3 1 2
28.70	3.110	86	2 2 0
44.22	2.048	80	4 0 2
23.96	3.714	78	2 1 1
31.78	2.816	78	0 0 4
32.94	2.719	72	2 2 2
25.70	3.466	66	2 0 2
43.35	2.087	56	2 2 4
59.42	1.556	51	4 4 0
14.24	6.220	36	1 1 0


Simulated powder XRD pattern
Compound: B2H6Ir
Radiation: Cu Kα (λ = 1.5418 Å)
Structure: DFT lattice parameters and positions (GGA-PBE)

Structure:
```
data_B2H6Ir
_symmetry_space_group_name_H-M 'R -3 m'
_symmetry_Int_Tables_number 166
_symmetry_space_group_name_Hall '-R 3 2"'
_cell_length_a 4.9849
_cell_length_b 4.9849
_cell_length_c 10.2082
_cell_angle_alpha 90.00
_cell_angle_beta 90.00
_cell_angle_gamma 120.00
loop_
_atom_site_label
_atom_site_type_symbol
_atom_site_fract_x
_atom_site_fract_y
_atom_site_fract_z
B1 B 0.0000 0.0000 0.2133
H1 H 0.0588 0.5294 0.3926
Ir1 Ir 0.0000 0.0000 0.0000
```

Peak list (10 most intense, 2θ = 5–70°, in order of falling intensity)
2theta	d_spacing	I/Imax	hkl
22.36	3.976	100	1 0 1
27.05	3.296	47	0 1 2
36.03	2.492	32	1 1 0
45.09	2.011	27	1 1 3
41.09	2.197	22	1 0 4
26.19	3.403	20	0 0 3
42.82	2.112	17	0 2 1
57.17	1.611	16	2 1 1
49.38	1.846	13	0 1 5
45.63	1.988	13	2 0 2


Simulated powder XRD pattern
Compound: WS
Radiation: Cu Kα (λ = 1.5418 Å)
Structure: DFT lattice parameters and positions (GGA-PBE)

Structure:
```
data_WS
_symmetry_space_group_name_H-M 'P 63 m c'
_symmetry_Int_Tables_number 186
_symmetry_space_group_name_Hall 'P 6c -2c'
_cell_length_a 3.0233
_cell_length_b 3.0233
_cell_length_c 8.1806
_cell_angle_alpha 90.00
_cell_angle_beta 90.00
_cell_angle_gamma 120.00
loop_
_atom_site_label
_atom_site_type_symbol
_atom_site_fract_x
_atom_site_fract_y
_atom_site_fract_z
W1 W 0.3333 0.6667 0.0000
S1 S 0.3333 0.6667 0.3043
```

Peak list (10 most intense, 2θ = 5–70°, in order of falling intensity)
2theta	d_spacing	I/Imax	hkl
36.02	2.494	100	1 0 1
48.18	1.889	64	1 0 3
21.73	4.090	64	0 0 2
34.25	2.618	29	1 0 0
61.33	1.512	22	1 1 0
65.87	1.418	20	1 1 2
40.93	2.205	20	1 0 2
44.29	2.045	15	0 0 4
67.51	1.388	13	1 0 5
57.15	1.612	11	1 0 4


Simulated powder XRD pattern
Compound: KTi2Se4
Radiation: Cu Kα (λ = 1.5418 Å)
Structure: DFT lattice parameters and positions (GGA-PBE)

Structure:
```
data_KTi2Se4
_symmetry_space_group_name_H-M 'C m c m'
_symmetry_Int_Tables_number 63
_symmetry_space_group_name_Hall '-C 2c 2'
_cell_length_a 3.791
_cell_length_b 12.837
_cell_length_c 13.298
_cell_angle_alpha 90.00
_cell_angle_beta 90.00
_cell_angle_gamma 90.00
loop_
_atom_site_label
_atom_site_type_symbol
_atom_site_fract_x
_atom_site_fract_y
_atom_site_fract_z
K1 K 0.000 0.109 0.250
Ti1 Ti 0.000 0.370 0.067
Se1 Se 0.000 0.000 0.000
Se2 Se 0.000 0.264 0.602
Se3 Se 0.000 0.411 0.250
```

Peak list (10 most intense, 2θ = 5–70°, in order of falling intensity)
2theta	d_spacing	I/Imax	hkl
32.26	2.775	100	1 3 1
30.28	2.952	71	0 2 4
48.03	1.894	49	2 0 0
31.83	2.811	44	1 1 3
34.36	2.610	36	1 3 2
31.53	2.837	34	1 3 0
47.43	1.917	31	1 5 3
30.94	2.890	22	0 4 2
57.81	1.595	22	2 2 4
58.47	1.579	21	1 3 7


Simulated powder XRD pattern
Compound: Y3Ho2Er4
Radiation: Cu Kα (λ = 1.5418 Å)
Structure: DFT lattice parameters and positions (GGA-PBE)

Structure:
```
data_Y3Ho2Er4
_symmetry_space_group_name_H-M 'C 1 2/c 1'
_symmetry_Int_Tables_number 15
_cell_length_a 16.127
_cell_length_b 11.503
_cell_length_c 6.100
_cell_angle_alpha 90.00
_cell_angle_beta 95.95
_cell_angle_gamma 90.00
loop_
_symmetry_equiv_pos_as_xyz
'x,y,z'
'-x,-y,-z'
'-x,y,-z+1/2'
'x,-y,z+1/2'
'x+1/2,y+1/2,z'
'-x+1/2,-y+1/2,-z'
'-x+1/2,y+1/2,-z+1/2'
'x+1/2,-y+1/2,z+1/2'
loop_
_atom_site_label
_atom_site_type_symbol
_atom_site_fract_x
_atom_site_fract_y
_atom_site_fract_z
Y1 Y 0.000 0.098 0.250
Y2 Y 0.166 0.402 0.085
Ho1 Ho 0.121 0.142 0.819
Er1 Er 0.046 0.359 0.515
Er2 Er 0.213 0.141 0.348
```

Peak list (10 most intense, 2θ = 5–70°, in order of falling intensity)
2theta	d_spacing	I/Imax	hkl
31.12	2.874	100	0 4 0
32.03	2.794	89	4 2 1
30.42	2.938	52	1 1 -2
37.77	2.382	37	1 3 -2
28.65	3.116	21	3 3 0
38.37	2.346	19	5 3 -1
56.45	1.630	19	6 2 -3
50.19	1.818	15	5 5 -1
50.50	1.807	13	3 1 3
58.77	1.571	11	3 7 0


Simulated powder XRD pattern
Compound: Dy2Hg5Au
Radiation: Cu Kα (λ = 1.5418 Å)
Structure: DFT lattice parameters and positions (GGA-PBE)

Structure:
```
data_Dy2Hg5Au
_symmetry_space_group_name_H-M 'R -3 m'
_symmetry_Int_Tables_number 166
_symmetry_space_group_name_Hall '-R 3 2"'
_cell_length_a 4.7594
_cell_length_b 4.7594
_cell_length_c 31.7650
_cell_angle_alpha 90.00
_cell_angle_beta 90.00
_cell_angle_gamma 120.00
loop_
_atom_site_label
_atom_site_type_symbol
_atom_site_fract_x
_atom_site_fract_y
_atom_site_fract_z
Dy1 Dy 0.0000 0.0000 0.0929
Hg1 Hg 0.0000 0.0000 0.2022
Hg2 Hg 0.0000 0.0000 0.3719
Hg3 Hg 0.0000 0.0000 0.5000
Au1 Au 0.0000 0.0000 0.0000
```

Peak list (10 most intense, 2θ = 5–70°, in order of falling intensity)
2theta	d_spacing	I/Imax	hkl
37.80	2.380	100	1 1 0
29.27	3.051	62	1 0 7
35.69	2.516	51	1 0 10
38.05	2.365	22	0 1 11
68.26	1.374	18	3 0 0
66.89	1.399	17	2 1 10
52.96	1.729	17	0 2 10
31.28	2.860	17	0 1 8
48.52	1.876	16	0 2 7
63.09	1.473	14	2 1 7